Entry 1:
The following is a simulated powder XRD pattern of Nd3Ni8Pt. It was derived from a PBE-relaxed structure, using Cu Kα (λ = 1.5418 Å).
Intensities are scaled so that the largest is 100.

Atomic structure:
```
data_Nd3Ni8Pt
_cell_length_a 5.0661
_cell_length_b 5.0661
_cell_length_c 24.9869
_cell_angle_alpha 90.00
_cell_angle_beta 90.00
_cell_angle_gamma 120.00
_space_group_name_H-M_alt 'R 3 m'
_space_group_IT_number 160
_space_group_name_Hall 'R 3 -2"'
loop_
_atom_site_label
_atom_site_fract_x
_atom_site_fract_y
_atom_site_fract_z
_atom_site_occupancy
Nd1 0.0000 0.0000 0.0000 1
Nd2 0.0000 0.0000 0.1302 1
Nd3 0.0000 0.0000 0.6115 1
Ni1 0.0000 0.0000 0.3103 1
Ni2 0.0000 0.0000 0.8105 1
Ni3 0.0033 0.5016 0.5595 1
Ni4 0.0036 0.5018 0.0621 1
Pt1 0.0000 0.0000 0.4917 1
```

Principal peaks in the range 2θ from 10° to 90°, low angle first:
| two_theta | I_rel | hkl |
| --- | --- | --- |
| 21.47 | 12 | 0 1 2 |
| 35.27 | 38 | 0 1 8 |
| 35.44 | 43 | 1 1 0 |
| 41.59 | 29 | 1 0 10 |
| 41.76 | 100 | 2 0 2 |
| 43.74 | 16 | 0 2 4 |
| 63.52 | 14 | 1 2 8 |
| 67.83 | 13 | 2 1 10 |
| 67.93 | 15 | 3 0 6 |
| 74.99 | 15 | 2 2 0 |

Entry 2:
The following is a simulated powder XRD pattern of Sc8CoRh2. It was derived from a PBE-relaxed structure, using Cu Kα (λ = 1.5418 Å).
Intensities are scaled so that the largest is 100.

Atomic structure:
```
data_Sc8CoRh2
_cell_length_a 7.699
_cell_length_b 11.981
_cell_length_c 5.396
_cell_angle_alpha 90.00
_cell_angle_beta 111.32
_cell_angle_gamma 90.00
_space_group_name_H-M_alt 'C 1 m 1'
_space_group_IT_number 8
_space_group_name_Hall 'C -2y'
loop_
_atom_site_label
_atom_site_fract_x
_atom_site_fract_y
_atom_site_fract_z
_atom_site_occupancy
Sc1 0.000 0.000 0.000 1
Sc2 0.065 0.375 0.795 1
Sc3 0.143 0.125 0.586 1
Sc4 0.214 0.500 0.365 1
Sc5 0.361 0.204 0.183 1
Co1 0.360 0.000 0.041 1
Rh1 0.349 0.309 0.677 1
```

Principal peaks in the range 2θ from 10° to 90°, low angle first:
| two_theta | I_rel | hkl |
| --- | --- | --- |
| 17.64 | 76 | 0 0 1 |
| 23.10 | 58 | 0 2 1 |
| 29.02 | 43 | 2 2 0 |
| 33.76 | 100 | 1 3 1 |
| 36.04 | 72 | 3 1 -1 |
| 38.54 | 50 | 2 2 -2 |
| 38.84 | 72 | 0 2 2 |
| 39.17 | 41 | 2 4 0 |
| 41.69 | 95 | 1 5 -1 |
| 44.15 | 44 | 3 3 0 |

Entry 3:
The following is a simulated powder XRD pattern of ReBPC. It was derived from a PBE-relaxed structure, using Cu Kα (λ = 1.5418 Å).
Intensities are scaled so that the largest is 100.

Atomic structure:
```
data_ReBPC
_cell_length_a 4.934
_cell_length_b 2.808
_cell_length_c 8.203
_cell_angle_alpha 90.00
_cell_angle_beta 100.66
_cell_angle_gamma 90.00
_space_group_name_H-M_alt 'C 1 m 1'
_space_group_IT_number 8
_space_group_name_Hall 'C -2y'
loop_
_atom_site_label
_atom_site_fract_x
_atom_site_fract_y
_atom_site_fract_z
_atom_site_occupancy
Re1 0.000 0.000 0.000 1
B1 0.239 0.000 0.755 1
P1 0.239 0.500 0.216 1
C1 0.071 0.500 0.759 1
```

Principal peaks in the range 2θ from 10° to 90°, low angle first:
| two_theta | I_rel | hkl |
| --- | --- | --- |
| 10.98 | 100 | 0 0 1 |
| 22.05 | 10 | 0 0 2 |
| 33.34 | 5 | 0 0 3 |
| 36.68 | 5 | 2 0 -1 |
| 37.02 | 13 | 1 1 0 |
| 37.66 | 7 | 1 1 -1 |
| 39.71 | 17 | 1 1 1 |
| 41.58 | 7 | 1 1 -2 |
| 45.33 | 7 | 1 1 2 |
| 48.10 | 7 | 1 1 -3 |